Calculated XRD peak list of Rb2Fe3Os2 for λ = 1.5418 Å (Cu Kα), from a DFT-relaxed cell (GGA-PBE, OQMD).
Kinematic intensities with the Lorentz-polarization factor, no thermal factor.

Top 10 peaks for 2θ from 10° to 80°, low angle first:
2θ = 25.36°, I 34.2; 2θ = 27.91°, I 81.1; 2θ = 30.28°, I 30.9; 2θ = 30.57°, I 54.5; 2θ = 35.65°, I 46.1; 2θ = 41.65°, I 37.6; 2θ = 43.76°, I 100.0; 2θ = 44.46°, I 48.7; 2θ = 54.14°, I 35.9; 2θ = 59.40°, I 32.7

Atomic structure:
Lattice parameters (Å, degrees): 12.0448 12.0448 12.0448 19.78 19.78 19.78
Positions (direct):
Rb (0.0000, 0.0000, 0.0000)
Rb (0.4384, 0.4384, 0.4384)
Fe (0.2594, 0.2594, 0.2594)
Fe (0.5240, 0.5240, 0.5240)
Fe (0.8911, 0.8911, 0.8911)
Os (0.1930, 0.1930, 0.1930)
Os (0.5895, 0.5895, 0.5895)